Entry 1:
This entry pairs a crystal structure of PaAg2Cl7 with its computed powder X-ray diffraction pattern. Radiation: Cu Kα (weighted mean of Kα1 and Kα2). Structure: a DFT-relaxed cell (PBE, Alexandria).
No peak broadening, texture or thermal motion is included.

Principal peaks in the range 10° ≤ 2θ ≤ 90°, by intensity:
| 2θ (°) | I (rel.) |
| --- | --- |
| 12.4 | 100 |
| 12.9 | 27 |
| 20.9 | 21 |
| 24.4 | 20 |
| 29.2 | 20 |
| 34.2 | 18 |
| 27.3 | 14 |
| 25.3 | 13 |
| 40.8 | 12 |
| 37.3 | 9 |

Atomic structure:
```
data_PaAg2Cl7
_chemical_formula_sum 'Pa2 Ag4 Cl14'
_symmetry_space_group_name_H-M 'P 1'
_symmetry_Int_Tables_number 1
_symmetry_space_group_name_Hall 'P 1'
_cell_length_a 9.7925
_cell_length_b 9.7925
_cell_length_c 11.6726
_cell_angle_alpha 121.94
_cell_angle_beta 121.94
_cell_angle_gamma 51.46
loop_
_atom_site_label
_atom_site_type_symbol
_atom_site_fract_x
_atom_site_fract_y
_atom_site_fract_z
Pa1 Pa 0.2469 0.7531 0.7500
Pa2 Pa 0.7531 0.2469 0.2500
Ag1 Ag 0.2478 0.7197 0.4244
Ag2 Ag 0.2803 0.7522 0.0756
Ag3 Ag 0.7197 0.2478 0.9244
Ag4 Ag 0.7522 0.2803 0.5756
Cl1 Cl 0.0753 0.0766 0.2146
Cl2 Cl 0.0766 0.0753 0.7146
Cl3 Cl 0.1110 0.6055 0.4899
Cl4 Cl 0.2517 0.5319 0.8231
Cl5 Cl 0.3945 0.8890 0.0101
Cl6 Cl 0.4186 0.5814 0.2500
Cl7 Cl 0.4681 0.7483 0.6769
Cl8 Cl 0.5319 0.2517 0.3231
Cl9 Cl 0.5814 0.4186 0.7500
Cl10 Cl 0.6055 0.1110 0.9899
Cl11 Cl 0.7483 0.4681 0.1769
Cl12 Cl 0.8890 0.3945 0.5101
Cl13 Cl 0.9234 0.9247 0.2854
Cl14 Cl 0.9247 0.9234 0.7854
```

Entry 2:
This entry pairs a crystal structure of LiSm12Al6 with its computed powder X-ray diffraction pattern. Radiation: Cu Kα (weighted mean of Kα1 and Kα2). Structure: a DFT-relaxed cell (PBE, Alexandria).
No peak broadening, texture or thermal motion is included.

Principal peaks in the range 10° ≤ 2θ ≤ 90°, by intensity:
| 2θ (°) | I (rel.) |
| --- | --- |
| 33.4 | 100 |
| 35.5 | 66 |
| 27.8 | 49 |
| 30.6 | 49 |
| 26.7 | 49 |
| 54.7 | 42 |
| 33.1 | 41 |
| 37.8 | 33 |
| 19.8 | 24 |
| 21.2 | 24 |

Atomic structure:
```
data_LiSm12Al6
_chemical_formula_sum 'Li1 Sm12 Al6'
_symmetry_space_group_name_H-M 'P 1'
_symmetry_Int_Tables_number 1
_symmetry_space_group_name_Hall 'P 1'
_cell_length_a 8.8042
_cell_length_b 8.8042
_cell_length_c 8.8042
_cell_angle_alpha 107.50
_cell_angle_beta 107.50
_cell_angle_gamma 107.50
loop_
_atom_site_label
_atom_site_type_symbol
_atom_site_fract_x
_atom_site_fract_y
_atom_site_fract_z
Li1 Li 0.0000 0.0000 0.0000
Sm1 Sm 0.0350 0.3431 0.8827
Sm2 Sm 0.0783 0.4182 0.3350
Sm3 Sm 0.1173 0.9650 0.6569
Sm4 Sm 0.3350 0.0783 0.4182
Sm5 Sm 0.3431 0.8827 0.0350
Sm6 Sm 0.4182 0.3350 0.0783
Sm7 Sm 0.5818 0.6650 0.9217
Sm8 Sm 0.6569 0.1173 0.9650
Sm9 Sm 0.6650 0.9217 0.5818
Sm10 Sm 0.8827 0.0350 0.3431
Sm11 Sm 0.9217 0.5818 0.6650
Sm12 Sm 0.9650 0.6569 0.1173
Al1 Al 0.2413 0.3472 0.6570
Al2 Al 0.3430 0.7587 0.6528
Al3 Al 0.3472 0.6570 0.2413
Al4 Al 0.6528 0.3430 0.7587
Al5 Al 0.6570 0.2413 0.3472
Al6 Al 0.7587 0.6528 0.3430
```

Entry 3:
This entry pairs a crystal structure of B3C5 with its computed powder X-ray diffraction pattern. Radiation: Cu Kα (weighted mean of Kα1 and Kα2). Structure: a DFT-relaxed cell (PBE, Alexandria).
No peak broadening, texture or thermal motion is included.

Principal peaks in the range 10° ≤ 2θ ≤ 90°, by intensity:
| 2θ (°) | I (rel.) |
| --- | --- |
| 41.4 | 100 |
| 42.2 | 60 |
| 43.0 | 40 |
| 70.8 | 29 |
| 69.6 | 24 |
| 72.8 | 14 |
| 81.0 | 13 |
| 76.0 | 11 |
| 87.9 | 10 |
| 29.4 | 9 |

Atomic structure:
```
data_B3C5
_chemical_formula_sum 'B3 C5'
_symmetry_space_group_name_H-M 'P 1'
_symmetry_Int_Tables_number 1
_symmetry_space_group_name_Hall 'P 1'
_cell_length_a 4.4180
_cell_length_b 4.4180
_cell_length_c 4.7682
_cell_angle_alpha 94.35
_cell_angle_beta 94.35
_cell_angle_gamma 34.20
loop_
_atom_site_label
_atom_site_type_symbol
_atom_site_fract_x
_atom_site_fract_y
_atom_site_fract_z
B1 B 0.0000 0.0000 0.0000
B2 B 0.0789 0.0789 0.6067
B3 B 0.3106 0.3106 0.4086
C1 C 0.2478 0.2478 0.7633
C2 C 0.5005 0.5005 0.4584
C3 C 0.5693 0.5693 0.1684
C4 C 0.7459 0.7459 0.2133
C5 C 0.8108 0.8108 0.9115
```

Entry 4:
This entry pairs a crystal structure of RbAg4Br5 with its computed powder X-ray diffraction pattern. Radiation: Cu Kα (weighted mean of Kα1 and Kα2). Structure: a DFT-relaxed cell (PBE, Alexandria).
No peak broadening, texture or thermal motion is included.

Principal peaks in the range 10° ≤ 2θ ≤ 90°, by intensity:
| 2θ (°) | I (rel.) |
| --- | --- |
| 27.6 | 100 |
| 26.4 | 91 |
| 19.2 | 80 |
| 25.4 | 67 |
| 36.9 | 61 |
| 13.1 | 61 |
| 44.8 | 54 |
| 45.1 | 49 |
| 33.8 | 44 |
| 35.5 | 41 |

Atomic structure:
```
data_RbAg4Br5
_chemical_formula_sum 'Rb2 Ag8 Br10'
_symmetry_space_group_name_H-M 'P 1'
_symmetry_Int_Tables_number 1
_symmetry_space_group_name_Hall 'P 1'
_cell_length_a 8.1217
_cell_length_b 12.2665
_cell_length_c 6.9965
_cell_angle_alpha 90.00
_cell_angle_beta 90.00
_cell_angle_gamma 90.00
loop_
_atom_site_label
_atom_site_type_symbol
_atom_site_fract_x
_atom_site_fract_y
_atom_site_fract_z
Rb1 Rb 0.2500 0.2500 0.0394
Rb2 Rb 0.7500 0.7500 0.9606
Ag1 Ag 0.0713 0.7500 0.4151
Ag2 Ag 0.2500 0.5589 0.9688
Ag3 Ag 0.2500 0.9411 0.9688
Ag4 Ag 0.4287 0.7500 0.4151
Ag5 Ag 0.5713 0.2500 0.5849
Ag6 Ag 0.7500 0.0589 0.0312
Ag7 Ag 0.7500 0.4411 0.0312
Ag8 Ag 0.9287 0.2500 0.5849
Br1 Br 0.0050 0.0702 0.7682
Br2 Br 0.0050 0.4298 0.7682
Br3 Br 0.2500 0.7500 0.7419
Br4 Br 0.4950 0.0702 0.7682
Br5 Br 0.4950 0.4298 0.7682
Br6 Br 0.5050 0.5702 0.2318
Br7 Br 0.5050 0.9298 0.2318
Br8 Br 0.7500 0.2500 0.2581
Br9 Br 0.9950 0.5702 0.2318
Br10 Br 0.9950 0.9298 0.2318
```

Entry 5:
This entry pairs a crystal structure of Zr4Fe3Tc with its computed powder X-ray diffraction pattern. Radiation: Cu Kα (weighted mean of Kα1 and Kα2). Structure: a DFT-relaxed cell (PBE, Alexandria).
No peak broadening, texture or thermal motion is included.

Principal peaks in the range 10° ≤ 2θ ≤ 90°, by intensity:
| 2θ (°) | I (rel.) |
| --- | --- |
| 39.7 | 100 |
| 72.1 | 31 |
| 57.5 | 16 |
| 85.7 | 10 |
| 27.8 | 3 |
| 35.0 | 1 |
| 65.0 | 1 |
| 49.2 | 1 |
| 13.8 | 1 |
| 31.2 | 1 |

Atomic structure:
```
data_Zr4Fe3Tc
_chemical_formula_sum 'Zr4 Fe3 Tc1'
_symmetry_space_group_name_H-M 'P 1'
_symmetry_Int_Tables_number 1
_symmetry_space_group_name_Hall 'P 1'
_cell_length_a 3.2086
_cell_length_b 3.2086
_cell_length_c 12.8214
_cell_angle_alpha 90.00
_cell_angle_beta 90.00
_cell_angle_gamma 90.00
loop_
_atom_site_label
_atom_site_type_symbol
_atom_site_fract_x
_atom_site_fract_y
_atom_site_fract_z
Zr1 Zr 0.0000 0.0000 0.1237
Zr2 Zr 0.0000 0.0000 0.3713
Zr3 Zr 0.0000 0.0000 0.6287
Zr4 Zr 0.0000 0.0000 0.8763
Fe1 Fe 0.5000 0.5000 0.0000
Fe2 Fe 0.5000 0.5000 0.2438
Fe3 Fe 0.5000 0.5000 0.7562
Tc1 Tc 0.5000 0.5000 0.5000
```

Entry 6:
This entry pairs a crystal structure of SrLi12Ca16 with its computed powder X-ray diffraction pattern. Radiation: Cu Kα (weighted mean of Kα1 and Kα2). Structure: a DFT-relaxed cell (PBE, Alexandria).
No peak broadening, texture or thermal motion is included.

Principal peaks in the range 10° ≤ 2θ ≤ 90°, by intensity:
| 2θ (°) | I (rel.) |
| --- | --- |
| 30.0 | 100 |
| 30.2 | 99 |
| 29.9 | 38 |
| 29.7 | 37 |
| 17.4 | 34 |
| 30.3 | 28 |
| 17.1 | 25 |
| 17.2 | 24 |
| 30.5 | 22 |
| 53.0 | 19 |

Atomic structure:
```
data_SrLi12Ca16
_chemical_formula_sum 'Sr1 Li12 Ca16'
_symmetry_space_group_name_H-M 'P 1'
_symmetry_Int_Tables_number 1
_symmetry_space_group_name_Hall 'P 1'
_cell_length_a 11.0140
_cell_length_b 11.0140
_cell_length_c 10.7731
_cell_angle_alpha 109.26
_cell_angle_beta 109.26
_cell_angle_gamma 110.29
loop_
_atom_site_label
_atom_site_type_symbol
_atom_site_fract_x
_atom_site_fract_y
_atom_site_fract_z
Sr1 Sr 0.0000 0.0000 0.0000
Li1 Li 0.0472 0.2222 0.3849
Li2 Li 0.0537 0.0537 0.5810
Li3 Li 0.2222 0.0472 0.3849
Li4 Li 0.2237 0.5701 0.5565
Li5 Li 0.2380 0.2380 0.9312
Li6 Li 0.4118 0.5866 0.1177
Li7 Li 0.4124 0.7554 0.9393
Li8 Li 0.5701 0.2237 0.5565
Li9 Li 0.5768 0.7607 0.7426
Li10 Li 0.5866 0.4118 0.1177
Li11 Li 0.7554 0.4124 0.9393
Li12 Li 0.7607 0.5768 0.7426
Ca1 Ca 0.0146 0.7016 0.3621
Ca2 Ca 0.0678 0.4023 0.7500
Ca3 Ca 0.0760 0.4060 0.1465
Ca4 Ca 0.1041 0.7130 0.0618
Ca5 Ca 0.1095 0.7771 0.7480
Ca6 Ca 0.4023 0.0678 0.7500
Ca7 Ca 0.4029 0.7981 0.4285
Ca8 Ca 0.4060 0.0760 0.1465
Ca9 Ca 0.4077 0.4077 0.3834
Ca10 Ca 0.4104 0.4104 0.7427
Ca11 Ca 0.7016 0.0146 0.3621
Ca12 Ca 0.7130 0.1041 0.0618
Ca13 Ca 0.7469 0.7469 0.4973
Ca14 Ca 0.7557 0.7557 0.1023
Ca15 Ca 0.7771 0.1095 0.7480
Ca16 Ca 0.7981 0.4029 0.4285
```

Entry 7:
This entry pairs a crystal structure of Li6CaCeO6 with its computed powder X-ray diffraction pattern. Radiation: Cu Kα (weighted mean of Kα1 and Kα2). Structure: a DFT-relaxed cell (PBE, Alexandria).
No peak broadening, texture or thermal motion is included.

Principal peaks in the range 10° ≤ 2θ ≤ 90°, by intensity:
| 2θ (°) | I (rel.) |
| --- | --- |
| 19.3 | 100 |
| 34.9 | 58 |
| 30.5 | 40 |
| 45.8 | 40 |
| 16.5 | 34 |
| 54.2 | 26 |
| 48.2 | 17 |
| 36.4 | 14 |
| 43.7 | 13 |
| 65.1 | 10 |

Atomic structure:
```
data_Li6CaCeO6
_chemical_formula_sum 'Li12 Ca2 Ce2 O12'
_symmetry_space_group_name_H-M 'P 1'
_symmetry_Int_Tables_number 1
_symmetry_space_group_name_Hall 'P 1'
_cell_length_a 5.8616
_cell_length_b 5.8616
_cell_length_c 10.7590
_cell_angle_alpha 90.00
_cell_angle_beta 90.00
_cell_angle_gamma 120.00
loop_
_atom_site_label
_atom_site_type_symbol
_atom_site_fract_x
_atom_site_fract_y
_atom_site_fract_z
Li1 Li 0.0588 0.3690 0.0647
Li2 Li 0.0588 0.6898 0.4353
Li3 Li 0.3102 0.3690 0.4353
Li4 Li 0.3102 0.9412 0.0647
Li5 Li 0.3690 0.0588 0.5647
Li6 Li 0.3690 0.3102 0.9353
Li7 Li 0.6310 0.6898 0.0647
Li8 Li 0.6310 0.9412 0.4353
Li9 Li 0.6898 0.0588 0.9353
Li10 Li 0.6898 0.6310 0.5647
Li11 Li 0.9412 0.3102 0.5647
Li12 Li 0.9412 0.6310 0.9353
Ca1 Ca 0.0000 0.0000 0.2500
Ca2 Ca 0.0000 0.0000 0.7500
Ce1 Ce 0.3333 0.6667 0.7500
Ce2 Ce 0.6667 0.3333 0.2500
O1 O 0.0432 0.3470 0.8808
O2 O 0.0432 0.6961 0.6192
O3 O 0.3039 0.3470 0.6192
O4 O 0.3039 0.9568 0.8808
O5 O 0.3470 0.0432 0.3808
O6 O 0.3470 0.3039 0.1192
O7 O 0.6530 0.6961 0.8808
O8 O 0.6530 0.9568 0.6192
O9 O 0.6961 0.0432 0.1192
O10 O 0.6961 0.6530 0.3808
O11 O 0.9568 0.3039 0.3808
O12 O 0.9568 0.6530 0.1192
```

Entry 8:
This entry pairs a crystal structure of PaTc2B4 with its computed powder X-ray diffraction pattern. Radiation: Cu Kα (weighted mean of Kα1 and Kα2). Structure: a DFT-relaxed cell (PBE, Alexandria).
No peak broadening, texture or thermal motion is included.

Principal peaks in the range 10° ≤ 2θ ≤ 90°, by intensity:
| 2θ (°) | I (rel.) |
| --- | --- |
| 26.6 | 100 |
| 36.2 | 73 |
| 33.4 | 59 |
| 29.5 | 58 |
| 38.5 | 57 |
| 22.5 | 53 |
| 33.9 | 41 |
| 42.7 | 35 |
| 46.0 | 31 |
| 61.5 | 29 |

Atomic structure:
```
data_PaTc2B4
_chemical_formula_sum 'Pa2 Tc4 B8'
_symmetry_space_group_name_H-M 'P 1'
_symmetry_Int_Tables_number 1
_symmetry_space_group_name_Hall 'P 1'
_cell_length_a 6.3786
_cell_length_b 6.3786
_cell_length_c 5.6380
_cell_angle_alpha 108.34
_cell_angle_beta 108.34
_cell_angle_gamma 52.00
loop_
_atom_site_label
_atom_site_type_symbol
_atom_site_fract_x
_atom_site_fract_y
_atom_site_fract_z
Pa1 Pa 0.2333 0.7667 0.7500
Pa2 Pa 0.7667 0.2333 0.2500
Tc1 Tc 0.1888 0.3368 0.8279
Tc2 Tc 0.3368 0.1888 0.3279
Tc3 Tc 0.6632 0.8112 0.6721
Tc4 Tc 0.8112 0.6632 0.1721
B1 B 0.0359 0.2363 0.0156
B2 B 0.2363 0.0359 0.5156
B3 B 0.2387 0.5952 0.1988
B4 B 0.4048 0.7613 0.3012
B5 B 0.5952 0.2387 0.6988
B6 B 0.7613 0.4048 0.8012
B7 B 0.7637 0.9641 0.4844
B8 B 0.9641 0.7637 0.9844
```

Entry 9:
This entry pairs a crystal structure of LiZn10In with its computed powder X-ray diffraction pattern. Radiation: Cu Kα (weighted mean of Kα1 and Kα2). Structure: a DFT-relaxed cell (PBE, Alexandria).
No peak broadening, texture or thermal motion is included.

Principal peaks in the range 10° ≤ 2θ ≤ 90°, by intensity:
| 2θ (°) | I (rel.) |
| --- | --- |
| 40.3 | 100 |
| 40.0 | 51 |
| 42.1 | 51 |
| 44.9 | 48 |
| 39.4 | 29 |
| 19.4 | 29 |
| 45.2 | 23 |
| 64.9 | 22 |
| 87.0 | 21 |
| 71.9 | 18 |

Atomic structure:
```
data_LiZn10In
_chemical_formula_sum 'Li1 Zn10 In1'
_symmetry_space_group_name_H-M 'P 1'
_symmetry_Int_Tables_number 1
_symmetry_space_group_name_Hall 'P 1'
_cell_length_a 4.2972
_cell_length_b 5.2988
_cell_length_c 9.0679
_cell_angle_alpha 90.00
_cell_angle_beta 90.00
_cell_angle_gamma 90.00
loop_
_atom_site_label
_atom_site_type_symbol
_atom_site_fract_x
_atom_site_fract_y
_atom_site_fract_z
Li1 Li 0.0000 0.0000 0.0000
Zn1 Zn 0.0000 0.0000 0.3256
Zn2 Zn 0.0000 0.0000 0.6744
Zn3 Zn 0.0000 0.5000 0.1598
Zn4 Zn 0.0000 0.5000 0.8402
Zn5 Zn 0.5000 0.0000 0.5000
Zn6 Zn 0.5000 0.2446 0.2423
Zn7 Zn 0.5000 0.2446 0.7577
Zn8 Zn 0.5000 0.5000 0.0000
Zn9 Zn 0.5000 0.7554 0.2423
Zn10 Zn 0.5000 0.7554 0.7577
In1 In 0.0000 0.5000 0.5000
```

Entry 10:
This entry pairs a crystal structure of Sm2Zn12Au5 with its computed powder X-ray diffraction pattern. Radiation: Cu Kα (weighted mean of Kα1 and Kα2). Structure: a DFT-relaxed cell (PBE, Alexandria).
No peak broadening, texture or thermal motion is included.

Principal peaks in the range 10° ≤ 2θ ≤ 90°, by intensity:
| 2θ (°) | I (rel.) |
| --- | --- |
| 38.8 | 100 |
| 43.9 | 66 |
| 39.2 | 62 |
| 12.8 | 55 |
| 40.3 | 52 |
| 40.0 | 38 |
| 33.5 | 34 |
| 70.3 | 27 |
| 28.7 | 27 |
| 40.1 | 27 |

Atomic structure:
```
data_Sm2Zn12Au5
_chemical_formula_sum 'Sm2 Zn12 Au5'
_symmetry_space_group_name_H-M 'P 1'
_symmetry_Int_Tables_number 1
_symmetry_space_group_name_Hall 'P 1'
_cell_length_a 6.9906
_cell_length_b 6.9906
_cell_length_c 6.9906
_cell_angle_alpha 83.13
_cell_angle_beta 83.13
_cell_angle_gamma 83.13
loop_
_atom_site_label
_atom_site_type_symbol
_atom_site_fract_x
_atom_site_fract_y
_atom_site_fract_z
Sm1 Sm 0.1637 0.1637 0.1637
Sm2 Sm 0.8363 0.8363 0.8363
Zn1 Zn 0.1465 0.1465 0.6685
Zn2 Zn 0.1465 0.6685 0.1465
Zn3 Zn 0.2005 0.5000 0.7995
Zn4 Zn 0.2005 0.7995 0.5000
Zn5 Zn 0.3315 0.8535 0.8535
Zn6 Zn 0.5000 0.2005 0.7995
Zn7 Zn 0.5000 0.7995 0.2005
Zn8 Zn 0.6685 0.1465 0.1465
Zn9 Zn 0.7995 0.2005 0.5000
Zn10 Zn 0.7995 0.5000 0.2005
Zn11 Zn 0.8535 0.3315 0.8535
Zn12 Zn 0.8535 0.8535 0.3315
Au1 Au 0.0000 0.5000 0.5000
Au2 Au 0.3954 0.3954 0.3954
Au3 Au 0.5000 0.0000 0.5000
Au4 Au 0.5000 0.5000 0.0000
Au5 Au 0.6046 0.6046 0.6046
```

Entry 11:
This entry pairs a crystal structure of NaCdHg5 with its computed powder X-ray diffraction pattern. Radiation: Cu Kα (weighted mean of Kα1 and Kα2). Structure: a DFT-relaxed cell (PBE, Alexandria).
No peak broadening, texture or thermal motion is included.

Principal peaks in the range 10° ≤ 2θ ≤ 90°, by intensity:
| 2θ (°) | I (rel.) |
| --- | --- |
| 34.0 | 100 |
| 34.4 | 89 |
| 34.9 | 77 |
| 33.5 | 42 |
| 24.7 | 39 |
| 61.8 | 37 |
| 39.8 | 25 |
| 32.8 | 22 |
| 54.5 | 22 |
| 56.1 | 21 |

Atomic structure:
```
data_NaCdHg5
_chemical_formula_sum 'Na2 Cd2 Hg10'
_symmetry_space_group_name_H-M 'P 1'
_symmetry_Int_Tables_number 1
_symmetry_space_group_name_Hall 'P 1'
_cell_length_a 5.5182
_cell_length_b 5.5182
_cell_length_c 12.7153
_cell_angle_alpha 90.00
_cell_angle_beta 90.00
_cell_angle_gamma 75.12
loop_
_atom_site_label
_atom_site_type_symbol
_atom_site_fract_x
_atom_site_fract_y
_atom_site_fract_z
Na1 Na 0.0000 0.0000 0.0000
Na2 Na 0.0000 0.0000 0.5000
Cd1 Cd 0.3428 0.6572 0.7500
Cd2 Cd 0.6572 0.3428 0.2500
Hg1 Hg 0.0881 0.9119 0.2500
Hg2 Hg 0.1848 0.4260 0.1087
Hg3 Hg 0.1848 0.4260 0.3913
Hg4 Hg 0.4260 0.1848 0.6087
Hg5 Hg 0.4260 0.1848 0.8913
Hg6 Hg 0.5740 0.8152 0.1087
Hg7 Hg 0.5740 0.8152 0.3913
Hg8 Hg 0.8152 0.5740 0.6087
Hg9 Hg 0.8152 0.5740 0.8913
Hg10 Hg 0.9119 0.0881 0.7500
```

Entry 12:
This entry pairs a crystal structure of PrTmGeAu with its computed powder X-ray diffraction pattern. Radiation: Cu Kα (weighted mean of Kα1 and Kα2). Structure: a DFT-relaxed cell (PBE, Alexandria).
No peak broadening, texture or thermal motion is included.

Principal peaks in the range 10° ≤ 2θ ≤ 90°, by intensity:
| 2θ (°) | I (rel.) |
| --- | --- |
| 34.8 | 100 |
| 62.4 | 37 |
| 50.0 | 18 |
| 83.9 | 17 |
| 73.4 | 12 |
| 21.1 | 10 |
| 41.0 | 6 |
| 54.9 | 3 |
| 77.4 | 2 |
| 66.6 | 2 |

Atomic structure:
```
data_PrTmGeAu
_chemical_formula_sum 'Pr1 Tm1 Ge1 Au1'
_symmetry_space_group_name_H-M 'P 1'
_symmetry_Int_Tables_number 1
_symmetry_space_group_name_Hall 'P 1'
_cell_length_a 5.1588
_cell_length_b 5.1588
_cell_length_c 5.1588
_cell_angle_alpha 60.00
_cell_angle_beta 60.00
_cell_angle_gamma 60.00
loop_
_atom_site_label
_atom_site_type_symbol
_atom_site_fract_x
_atom_site_fract_y
_atom_site_fract_z
Pr1 Pr 0.0000 0.0000 0.0000
Tm1 Tm 0.5000 0.5000 0.5000
Ge1 Ge 0.2500 0.2500 0.2500
Au1 Au 0.7500 0.7500 0.7500
```